1.
Diffraction record for Ac4LaTm2. The powder X-ray diffraction pattern is theoretical, not measured: it uses a GGA-PBE-relaxed structure and Cu Kα, 1.54184 Å.
No peak broadening, texture or thermal motion is included.

Most intense lines, 10 to 80 degrees two-theta, in order of falling intensity:
29.5 deg, I 100.0; 29.9 deg, I 88.6; 29.0 deg, I 37.4; 28.9 deg, I 36.5; 31.6 deg, I 27.7; 57.7 deg, I 23.9; 52.9 deg, I 20.2; 57.6 deg, I 15.7

Cell and atoms:
```
14
Lattice="3.5365 -12.2872 0.0000 3.5365 12.2872 0.0000 -3.0348 0.0000 6.3588" Properties=species:S:1:pos:R:3 pbc="T T T"
Ac -0.5113 6.0950 4.8163
Ac 2.0191 11.5569 3.1794
Ac 1.0004 4.2627 1.6312
Ac -0.5169 -4.2627 4.8106
Ac 1.9957 0.7343 3.2560
Ac 1.0061 -6.0950 1.6370
Ac 3.5130 -0.7343 0.0766
Ac 3.5365 -11.5569 0.0000
La 4.5354 2.6613 1.6259
La 3.0180 -2.6613 4.8052
Tm -0.5208 2.6047 4.8081
Tm 0.9966 -2.6047 1.6288
Tm 3.0213 4.1125 4.8100
Tm 4.5387 -4.1125 1.6307
```

2.
Diffraction record for Pr2NpCdO8. The powder X-ray diffraction pattern is theoretical, not measured: it uses a GGA-PBE-relaxed structure and Cu Kα, 1.54184 Å.
No peak broadening, texture or thermal motion is included.

Most intense lines, 10 to 80 degrees two-theta, in order of falling intensity:
26.0 deg, I 100.0; 27.9 deg, I 83.5; 28.0 deg, I 82.5; 31.6 deg, I 79.1; 29.2 deg, I 73.5; 44.4 deg, I 32.6; 44.6 deg, I 32.4; 33.4 deg, I 32.4

Cell and atoms:
```
12
Lattice="4.0668 0.0000 0.0000 0.6433 5.3614 0.0000 0.0140 0.0326 7.9652" Properties=species:S:1:pos:R:3 pbc="T T T"
Pr 0.0078 0.0159 2.0070
Pr 4.7162 5.3780 5.9581
Np 2.3620 2.6970 3.9826
Cd 2.3550 2.6807 0.0000
O 0.6449 4.0168 0.0093
O 0.7255 3.8929 3.9862
O 2.0212 1.4394 5.5929
O 2.0231 1.4417 2.3531
O 2.7009 3.9523 5.6121
O 2.7029 3.9545 2.3723
O 3.9986 1.5010 3.9789
O 4.0791 1.3771 7.9559
```

3.
Diffraction record for Tb6Pm. The powder X-ray diffraction pattern is theoretical, not measured: it uses a GGA-PBE-relaxed structure and Cu Kα, 1.54184 Å.
No peak broadening, texture or thermal motion is included.

Most intense lines, 10 to 80 degrees two-theta, in order of falling intensity:
28.5 deg, I 100.0; 34.7 deg, I 82.5; 31.1 deg, I 78.9; 31.7 deg, I 62.4; 55.6 deg, I 54.0; 65.7 deg, I 45.8; 32.4 deg, I 31.9; 39.0 deg, I 27.5

Cell and atoms:
```
14
Lattice="6.5314 0.0000 0.0000 0.0000 6.5314 0.0000 0.0000 0.0000 11.0434" Properties=species:S:1:pos:R:3 pbc="T T T"
Tb 0.5362 3.8019 1.5182
Tb 0.5362 5.9952 9.5252
Tb 1.6329 1.6329 3.9745
Tb 1.6329 1.6329 7.0689
Tb 2.7295 3.8019 9.5252
Tb 2.7295 5.9952 1.5182
Tb 3.8019 0.5362 9.5252
Tb 3.8019 2.7295 1.5182
Tb 4.8986 4.8986 3.9745
Tb 4.8986 4.8986 7.0689
Tb 5.9952 0.5362 1.5182
Tb 5.9952 2.7295 9.5252
Pm 1.6329 4.8986 5.5217
Pm 4.8986 1.6329 5.5217
```